# DyInCu4
Theoretical powder XRD pattern, CuKα. Input: the GGA-PBE geometry in the Materials Project.

Crystal structure
```
DyInCu4
1.0
0.0000 3.6192 3.6192
3.6192 0.0000 3.6192
3.6192 3.6192 0.0000
Dy In Cu
1 1 4
Direct
0.0000 0.0000 0.0000
0.7500 0.7500 0.7500
0.3753 0.3753 0.3753
0.3753 0.3753 0.8741
0.3753 0.8741 0.3753
0.8741 0.3753 0.3753
```

Top 10 peaks for 2θ from 10° to 90°, in order of falling intensity:
2theta	I_rel
41.37	100.0
35.06	54.0
67.20	30.0
74.10	22.5
43.30	20.2
62.90	19.5
88.60	10.7
84.69	8.6
21.26	6.7
89.90	6.5